The following is a computed powder XRD pattern of Nd2ScTl9. It was derived from the PBE geometry in Alexandria, using Cu Kα X-rays.
No peak broadening, texture or thermal motion is included.

Main lines, by intensity (15 to 90 degrees two-theta):
two_theta  I_rel
32.41  100
37.54  34
64.52  28
54.27  23
37.72  16
64.77  13
54.13  12
67.86  12
89.30  11
89.08  6
18.54  4
80.11  4

Atomic structure:
Cell lengths 4.792, 4.792, 14.310 Å; angles 90.00, 90.00, 90.00 degrees
Space group P4/mmm (No. 123)
Inequivalent atoms, fractional coordinates:
Nd 0.000 0.000 0.171 x2
Sc 0.000 0.000 0.500 x1
Tl 0.000 0.500 0.000 x2
Tl 0.000 0.500 0.341 x4
Tl 0.500 0.500 0.169 x2
Tl 0.500 0.500 0.500 x1

***

The following is a computed powder XRD pattern of NaZrIn. It was derived from the PBE geometry in Alexandria, using Cu Kα X-rays.
No peak broadening, texture or thermal motion is included.

Main lines, by intensity (15 to 90 degrees two-theta):
two_theta  I_rel
34.59  100
31.76  93
36.31  64
38.24  49
57.24  33
42.20  32
35.52  28
42.66  27
68.39  22
65.94  21
61.56  20
22.40  17

Atomic structure:
Cell lengths 3.278, 4.239, 11.315 Å; angles 90.00, 90.00, 90.00 degrees
Space group Pmmn (No. 59, origin choice 2)
Inequivalent atoms, fractional coordinates:
Na 0.250 0.250 0.113 x2
Zr 0.250 0.250 0.425 x2
In 0.250 0.250 0.712 x2

***

The following is a computed powder XRD pattern of K2SeS6. It was derived from the PBE geometry in Alexandria, using Cu Kα X-rays.
No peak broadening, texture or thermal motion is included.

Main lines, by intensity (15 to 90 degrees two-theta):
two_theta  I_rel
29.15  100
27.85  97
27.02  72
31.15  49
20.26  48
28.50  45
19.22  44
26.95  42
26.55  41
19.88  34
34.92  31
37.71  29

Atomic structure:
Cell lengths 4.789, 7.029, 9.034 Å; angles 97.96, 90.86, 105.05 degrees
Space group P1 (No. 1)
Inequivalent atoms, fractional coordinates:
K 0.000 0.000 0.000 x1
K 0.084 0.163 0.537 x1
Se 0.554 0.138 0.262 x1
S 0.132 0.573 0.805 x1
S 0.265 0.605 0.189 x1
S 0.355 0.481 0.979 x1
S 0.417 0.735 0.672 x1
S 0.528 0.034 0.753 x1
S 0.609 0.837 0.281 x1